# 1
Diffraction record for PrI. The powder XRD pattern is computed, not measured: it uses a cell relaxed with GGA-PBE and Cu Kα (λ = 1.5418 Å).
No peak broadening, texture or thermal motion is included.

Peak list (12 most intense, 15° ≤ 2θ ≤ 90°, in order of falling intensity)
| two_theta | I/Imax | (hkl) |
| --- | --- | --- |
| 35.7 | 100 | 1 0 6 |
| 27.1 | 93 | 1 0 2 |
| 26.2 | 72 | 1 0 1 |
| 45.7 | 53 | 1 1 0 |
| 57.1 | 41 | 1 1 8 |
| 32.5 | 35 | 0 0 8 |
| 38.8 | 31 | 1 0 7 |
| 59.3 | 23 | 2 0 6 |
| 33.0 | 21 | 1 0 5 |
| 77.9 | 21 | 2 1 6 |
| 65.1 | 20 | 1 0 14 |
| 16.1 | 17 | 0 0 4 |

Cell and atoms:
```
data_PrI
_cell_length_a 3.9745
_cell_length_b 3.9745
_cell_length_c 22.0448
_cell_angle_alpha 90.00
_cell_angle_beta 90.00
_cell_angle_gamma 120.00
_space_group_name_H-M_alt 'P 63 m c'
_space_group_IT_number 186
_space_group_name_Hall 'P 6c -2c'
loop_
_atom_site_label
_atom_site_type_symbol
_atom_site_fract_x
_atom_site_fract_y
_atom_site_fract_z
_atom_site_occupancy
Pr1 Pr 0.0000 0.0000 0.0000 1
Pr2 Pr 0.3333 0.6667 0.2503 1
I1 I 0.0000 0.0000 0.3551 1
I2 I 0.3333 0.6667 0.1048 1
```

---

# 2
Diffraction record for Pr2I5. The powder XRD pattern is computed, not measured: it uses a cell relaxed with GGA-PBE and Cu Kα (λ = 1.5418 Å).
No peak broadening, texture or thermal motion is included.

Peak list (12 most intense, 15° ≤ 2θ ≤ 90°, in order of falling intensity)
| two_theta | I/Imax | (hkl) |
| --- | --- | --- |
| 28.3 | 100 | 2 1 -1 |
| 29.8 | 76 | 0 0 5 |
| 25.9 | 67 | 1 1 2 |
| 27.1 | 65 | 2 0 3 |
| 27.9 | 61 | 2 1 0 |
| 41.5 | 49 | 0 2 0 |
| 38.1 | 34 | 2 1 4 |
| 31.5 | 34 | 0 1 4 |
| 37.0 | 30 | 1 1 -5 |
| 39.9 | 28 | 3 0 -5 |
| 29.6 | 28 | 3 0 1 |
| 48.5 | 23 | 3 1 5 |

Cell and atoms:
```
data_Pr2I5
_cell_length_a 9.436
_cell_length_b 4.356
_cell_length_c 15.016
_cell_angle_alpha 90.00
_cell_angle_beta 94.80
_cell_angle_gamma 90.00
_space_group_name_H-M_alt 'P 1 21/m 1'
_space_group_IT_number 11
_space_group_name_Hall '-P 2yb'
loop_
_atom_site_label
_atom_site_type_symbol
_atom_site_fract_x
_atom_site_fract_y
_atom_site_fract_z
_atom_site_occupancy
Pr1 Pr 0.085 0.250 0.158 1
Pr2 Pr 0.395 0.750 0.350 1
I1 I 0.135 0.250 0.786 1
I2 I 0.150 0.250 0.375 1
I3 I 0.180 0.750 0.015 1
I4 I 0.367 0.750 0.572 1
I5 I 0.433 0.250 0.193 1
```

---

# 3
Diffraction record for Pr3PtI7. The powder XRD pattern is computed, not measured: it uses a cell relaxed with GGA-PBE and Cu Kα (λ = 1.5418 Å).
No peak broadening, texture or thermal motion is included.

Peak list (12 most intense, 15° ≤ 2θ ≤ 90°, in order of falling intensity)
| two_theta | I/Imax | (hkl) |
| --- | --- | --- |
| 25.9 | 100 | 0 2 1 |
| 33.3 | 47 | 0 2 2 |
| 40.4 | 33 | 2 2 0 |
| 43.2 | 27 | 2 0 3 |
| 48.6 | 17 | 4 0 1 |
| 65.0 | 14 | 2 4 1 |
| 65.1 | 14 | 2 2 4 |
| 53.3 | 12 | 4 0 2 |
| 16.5 | 10 | 0 1 1 |
| 68.9 | 10 | 2 4 2 |
| 75.3 | 10 | 4 2 3 |
| 60.6 | 10 | 0 4 3 |

Cell and atoms:
```
data_Pr3PtI7
_cell_length_a 8.9382
_cell_length_b 8.9382
_cell_length_c 7.4746
_cell_angle_alpha 90.00
_cell_angle_beta 90.00
_cell_angle_gamma 120.00
_space_group_name_H-M_alt 'P 3 m 1'
_space_group_IT_number 156
_space_group_name_Hall 'P 3 -2"'
loop_
_atom_site_label
_atom_site_type_symbol
_atom_site_fract_x
_atom_site_fract_y
_atom_site_fract_z
_atom_site_occupancy
Pr1 Pr 0.0228 0.5114 0.0000 1
Pt1 Pt 0.3333 0.6667 0.7952 1
I1 I 0.1682 0.3364 0.2614 1
I2 I 0.3348 0.1674 0.7691 1
I3 I 0.6667 0.3333 0.2478 1
```

---

# 4
Diffraction record for TbPr2Pt2I2. The powder XRD pattern is computed, not measured: it uses a cell relaxed with GGA-PBE and Cu Kα (λ = 1.5418 Å).
No peak broadening, texture or thermal motion is included.

Peak list (12 most intense, 15° ≤ 2θ ≤ 90°, in order of falling intensity)
| two_theta | I/Imax | (hkl) |
| --- | --- | --- |
| 33.8 | 100 | 2 0 0 |
| 31.9 | 95 | 1 0 5 |
| 47.2 | 64 | 2 1 5 |
| 26.1 | 39 | 1 1 2 |
| 32.2 | 36 | 1 1 4 |
| 48.5 | 36 | 2 2 0 |
| 35.6 | 27 | 2 0 2 |
| 66.7 | 27 | 2 0 10 |
| 23.7 | 21 | 1 1 0 |
| 70.0 | 19 | 3 2 5 |
| 76.9 | 18 | 2 2 10 |
| 81.1 | 16 | 4 2 0 |

Cell and atoms:
```
data_TbPr2Pt2I2
_cell_length_a 5.304
_cell_length_b 5.304
_cell_length_c 16.513
_cell_angle_alpha 90.00
_cell_angle_beta 90.00
_cell_angle_gamma 90.00
_space_group_name_H-M_alt 'I 4/m m m'
_space_group_IT_number 139
_space_group_name_Hall '-I 4 2'
loop_
_atom_site_label
_atom_site_type_symbol
_atom_site_fract_x
_atom_site_fract_y
_atom_site_fract_z
_atom_site_occupancy
Tb1 Tb 0.000 0.000 0.000 1
Pr1 Pr 0.000 0.000 0.396 1
Pt1 Pt 0.000 0.500 0.000 1
I1 I 0.000 0.000 0.194 1
```

---

# 5
Diffraction record for PrThPtI. The powder XRD pattern is computed, not measured: it uses a cell relaxed with GGA-PBE and Cu Kα (λ = 1.5418 Å).
No peak broadening, texture or thermal motion is included.

Peak list (12 most intense, 15° ≤ 2θ ≤ 90°, in order of falling intensity)
| two_theta | I/Imax | (hkl) |
| --- | --- | --- |
| 30.3 | 100 | 0 1 5 |
| 42.5 | 47 | 1 1 0 |
| 25.2 | 32 | 0 1 2 |
| 44.3 | 26 | 1 0 10 |
| 53.0 | 21 | 2 0 5 |
| 35.3 | 20 | 1 0 7 |
| 70.2 | 18 | 1 2 5 |
| 63.0 | 15 | 0 2 10 |
| 28.2 | 13 | 1 0 4 |
| 38.1 | 11 | 0 1 8 |
| 54.5 | 9 | 1 0 13 |
| 43.9 | 9 | 1 1 3 |

Cell and atoms:
```
data_PrThPtI
_cell_length_a 4.2582
_cell_length_b 4.2582
_cell_length_c 24.5953
_cell_angle_alpha 90.00
_cell_angle_beta 90.00
_cell_angle_gamma 120.00
_space_group_name_H-M_alt 'R 3 m'
_space_group_IT_number 160
_space_group_name_Hall 'R 3 -2"'
loop_
_atom_site_label
_atom_site_type_symbol
_atom_site_fract_x
_atom_site_fract_y
_atom_site_fract_z
_atom_site_occupancy
Pr1 Pr 0.0000 0.0000 0.0000 1
Th1 Th 0.0000 0.0000 0.7934 1
Pt1 Pt 0.0000 0.0000 0.4016 1
I1 I 0.0000 0.0000 0.2294 1
```

---

# 6
Diffraction record for Pr2YPt2I2. The powder XRD pattern is computed, not measured: it uses a cell relaxed with GGA-PBE and Cu Kα (λ = 1.5418 Å).
No peak broadening, texture or thermal motion is included.

Peak list (12 most intense, 15° ≤ 2θ ≤ 90°, in order of falling intensity)
| two_theta | I/Imax | (hkl) |
| --- | --- | --- |
| 33.8 | 100 | 2 0 0 |
| 31.9 | 88 | 1 0 5 |
| 26.1 | 63 | 1 1 2 |
| 47.2 | 59 | 2 1 5 |
| 32.3 | 55 | 1 1 4 |
| 48.6 | 36 | 2 2 0 |
| 66.8 | 26 | 2 0 10 |
| 35.6 | 22 | 2 0 2 |
| 59.5 | 20 | 3 1 4 |
| 70.1 | 18 | 3 2 5 |
| 77.0 | 18 | 2 2 10 |
| 81.2 | 16 | 4 2 0 |

Cell and atoms:
```
data_Pr2YPt2I2
_cell_length_a 5.300
_cell_length_b 5.300
_cell_length_c 16.509
_cell_angle_alpha 90.00
_cell_angle_beta 90.00
_cell_angle_gamma 90.00
_space_group_name_H-M_alt 'I 4/m m m'
_space_group_IT_number 139
_space_group_name_Hall '-I 4 2'
loop_
_atom_site_label
_atom_site_type_symbol
_atom_site_fract_x
_atom_site_fract_y
_atom_site_fract_z
_atom_site_occupancy
Pr1 Pr 0.000 0.000 0.104 1
Y1 Y 0.000 0.000 0.500 1
Pt1 Pt 0.000 0.500 0.000 1
I1 I 0.000 0.000 0.306 1
```

---

# 7
Diffraction record for PrPuI4. The powder XRD pattern is computed, not measured: it uses a cell relaxed with GGA-PBE and Cu Kα (λ = 1.5418 Å).
No peak broadening, texture or thermal motion is included.

Peak list (12 most intense, 15° ≤ 2θ ≤ 90°, in order of falling intensity)
| two_theta | I/Imax | (hkl) |
| --- | --- | --- |
| 28.1 | 100 | 2 0 0 |
| 40.7 | 72 | 2 0 4 |
| 15.7 | 67 | 1 0 1 |
| 28.8 | 46 | 0 0 4 |
| 50.2 | 39 | 2 2 4 |
| 40.2 | 38 | 2 2 0 |
| 25.7 | 34 | 1 0 3 |
| 73.4 | 26 | 4 2 4 |
| 38.5 | 24 | 2 1 3 |
| 32.4 | 24 | 2 1 1 |
| 65.8 | 18 | 4 2 0 |
| 66.2 | 17 | 4 0 4 |

Cell and atoms:
```
data_PrPuI4
_cell_length_a 6.346
_cell_length_b 6.346
_cell_length_c 12.403
_cell_angle_alpha 90.00
_cell_angle_beta 90.00
_cell_angle_gamma 90.00
_space_group_name_H-M_alt 'I -4 m 2'
_space_group_IT_number 119
_space_group_name_Hall 'I -4 -2'
loop_
_atom_site_label
_atom_site_type_symbol
_atom_site_fract_x
_atom_site_fract_y
_atom_site_fract_z
_atom_site_occupancy
Pr1 Pr 0.000 0.000 0.000 1
Pu1 Pu 0.000 0.500 0.750 1
I1 I 0.000 0.000 0.259 1
I2 I 0.000 0.500 0.007 1
```

---

# 8
Diffraction record for Rb2PrTlI6. The powder XRD pattern is computed, not measured: it uses a cell relaxed with GGA-PBE and Cu Kα (λ = 1.5418 Å).
No peak broadening, texture or thermal motion is included.

Peak list (12 most intense, 15° ≤ 2θ ≤ 90°, in order of falling intensity)
| two_theta | I/Imax | (hkl) |
| --- | --- | --- |
| 23.1 | 100 | 1 1 3 |
| 30.9 | 75 | 2 -1 6 |
| 27.8 | 66 | 0 2 4 |
| 34.7 | 51 | 3 0 0 |
| 34.4 | 28 | 3 -1 4 |
| 19.4 | 26 | 1 0 4 |
| 54.0 | 24 | 3 2 4 |
| 41.1 | 22 | 1 1 9 |
| 50.9 | 22 | 2 1 10 |
| 30.7 | 21 | 2 1 1 |
| 41.5 | 20 | 1 0 10 |
| 42.8 | 17 | 4 -1 2 |

Cell and atoms:
```
data_Rb2PrTlI6
_cell_length_a 8.9627
_cell_length_b 8.9627
_cell_length_c 22.7062
_cell_angle_alpha 90.00
_cell_angle_beta 90.00
_cell_angle_gamma 120.00
_space_group_name_H-M_alt 'R 3'
_space_group_IT_number 146
_space_group_name_Hall 'R 3'
loop_
_atom_site_label
_atom_site_type_symbol
_atom_site_fract_x
_atom_site_fract_y
_atom_site_fract_z
_atom_site_occupancy
Rb1 Rb 0.0000 0.0000 0.0000 1
Rb2 Rb 0.0000 0.0000 0.4916 1
Pr1 Pr 0.0000 0.0000 0.7031 1
Tl1 Tl 0.0000 0.0000 0.2091 1
I1 I 0.0136 0.4058 0.4454 1
I2 I 0.0749 0.7074 0.2846 1
```